(1)
For LiSn2P5O16, a crystal structure in the Materials Project, relaxed with GGA-PBE gives the theoretical powder diffraction line list in this record (Cu Kα (λ = 1.5418 Å)).

Most intense lines, 2θ = 10–90°, in order of falling intensity:
2θ 21.77, I = 1000, (1 1 1)
2θ 13.16, I = 997, (0 1 1)
2θ 18.65, I = 887, (0 0 4)
2θ 30.75, I = 505, (1 2 1)
2θ 21.45, I = 501, (1 1 -1)
2θ 30.48, I = 426, (1 2 -1)

Structure:
```
data_LiSn2P5O16
_chemical_formula_sum 'Li2 Sn4 P10 O32'
_cell_length_a 5.2014
_cell_length_b 7.1903
_cell_length_c 19.0449
_cell_angle_alpha 90.00
_cell_angle_beta 92.47
_cell_angle_gamma 90.00
_space_group_name_H-M_alt 'P 1 c 1'
_space_group_IT_number 7
loop_
_space_group_symop_operation_xyz
'x,y,z'
'x,-y,z+1/2'
loop_
_atom_site_label
_atom_site_type_symbol
_atom_site_fract_x
_atom_site_fract_y
_atom_site_fract_z
Li1 Li 0.0000 0.1314 0.0000
Sn1 Sn 0.0468 0.3393 0.5551
Sn2 Sn 0.5347 0.3410 0.8749
P1 P 0.0451 0.3597 0.3798
P2 P 0.0673 0.0350 0.8355
P3 P 0.5227 0.3513 0.0527
P4 P 0.5291 0.0256 0.5977
P5 P 0.7858 0.2402 0.7168
O1 O 0.0435 0.1838 0.3263
O2 O 0.1837 0.2945 0.4482
O3 O 0.1910 0.4862 0.8423
O4 O 0.2566 0.0793 0.5738
O5 O 0.3519 0.0813 0.8414
O6 O 0.3573 0.2761 0.9900
O7 O 0.4083 0.4743 0.5857
O8 O 0.5173 0.1924 0.1148
O9 O 0.5807 0.1082 0.6752
O10 O 0.6387 0.3571 0.7667
O11 O 0.7449 0.0685 0.5499
O12 O 0.7603 0.4041 0.3877
O13 O 0.8087 0.3704 0.0365
O14 O 0.9026 0.1146 0.8917
O15 O 0.9511 0.3460 0.6678
O16 O 0.9597 0.0884 0.7576
```

***

(2)
For LiSnP2O7, a crystal structure in the Materials Project, relaxed with GGA-PBE gives the theoretical powder diffraction line list in this record (Cu Kα (λ = 1.5418 Å)).

Most intense lines, 2θ = 10–90°, in order of falling intensity:
2θ 16.37, I = 1000, (0 1 1)
2θ 27.50, I = 478, (1 2 -1)
2θ 28.56, I = 324, (1 1 -2)
2θ 21.04, I = 286, (1 1 0)
2θ 26.04, I = 236, (1 0 1)
2θ 21.32, I = 193, (1 1 -1)

Structure:
```
data_LiSnP2O7
_chemical_formula_sum 'Li2 Sn2 P4 O14'
_cell_length_a 5.0690
_cell_length_b 8.9509
_cell_length_c 7.1952
_cell_angle_alpha 90.00
_cell_angle_beta 109.13
_cell_angle_gamma 90.00
_space_group_name_H-M_alt 'P 1 21 1'
_space_group_IT_number 4
loop_
_space_group_symop_operation_xyz
'x,y,z'
'-x,y+1/2,-z'
loop_
_atom_site_label
_atom_site_type_symbol
_atom_site_fract_x
_atom_site_fract_y
_atom_site_fract_z
Li1 Li 0.2021 0.0000 0.1621
Sn1 Sn 0.2142 0.3534 0.2337
P1 P 0.2112 0.0619 0.5768
P2 P 0.3961 0.6693 0.0356
O1 O 0.0503 0.5358 0.3674
O2 O 0.1473 0.1403 0.3762
O3 O 0.2170 0.5260 0.0074
O4 O 0.2223 0.8136 0.0073
O5 O 0.3749 0.9174 0.5730
O6 O 0.4121 0.1634 0.0907
O7 O 0.4120 0.1777 0.7342
```

***

(3)
For Li2SnP4O12, a crystal structure in the Materials Project, relaxed with GGA-PBE gives the theoretical powder diffraction line list in this record (Cu Kα (λ = 1.5418 Å)).

Most intense lines, 2θ = 10–90°, in order of falling intensity:
2θ 22.73, I = 1000, (1 1 1)
2θ 31.91, I = 845, (2 2 1)
2θ 18.01, I = 352, (2 0 0)
2θ 28.65, I = 344, (3 1 0)
2θ 12.71, I = 292, (1 1 0)
2θ 48.33, I = 251, (3 1 2)

Structure:
```
data_Li2SnP4O12
_chemical_formula_sum 'Li4 Sn2 P8 O24'
_cell_length_a 9.8516
_cell_length_b 9.8516
_cell_length_c 4.7275
_cell_angle_alpha 90.00
_cell_angle_beta 90.00
_cell_angle_gamma 90.00
_space_group_name_H-M_alt 'P 4/n b m'
_space_group_IT_number 125
loop_
_space_group_symop_operation_xyz
'x,y,z'
'-x,-y,-z'
'-y+1/2,x,z'
'y+1/2,-x,-z'
'-x+1/2,-y+1/2,z'
'x+1/2,y+1/2,-z'
'y,-x+1/2,z'
'-y,x+1/2,-z'
'x,-y+1/2,-z'
'-x,y+1/2,z'
'-y+1/2,-x+1/2,-z'
'y+1/2,x+1/2,z'
'-x+1/2,y,-z'
'x+1/2,-y,z'
'y,x,-z'
'-y,-x,z'
loop_
_atom_site_label
_atom_site_type_symbol
_atom_site_fract_x
_atom_site_fract_y
_atom_site_fract_z
Li1 Li 0.0000 0.0000 0.0000
Sn1 Sn 0.2500 0.2500 0.0000
P1 P 0.0393 0.7500 0.5000
O1 O 0.0344 0.1777 0.2665
O2 O 0.1428 0.6428 0.6534
```

***

(4)
For Li2SnP4O12, a crystal structure in the Materials Project, relaxed with GGA-PBE gives the theoretical powder diffraction line list in this record (Cu Kα (λ = 1.5418 Å)).

Most intense lines, 2θ = 10–90°, in order of falling intensity:
2θ 11.08, I = 1000, (1 1 0)
2θ 25.07, I = 874, (2 2 -1)
2θ 16.57, I = 702, (1 1 1)
2θ 22.47, I = 618, (0 4 0)
2θ 31.47, I = 356, (2 0 2)
2θ 24.09, I = 307, (0 0 2)

Structure:
```
data_Li2SnP4O12
_chemical_formula_sum 'Li8 Sn4 P16 O48'
_cell_length_a 9.2484
_cell_length_b 15.8263
_cell_length_c 7.3914
_cell_angle_alpha 90.00
_cell_angle_beta 91.79
_cell_angle_gamma 90.00
_space_group_name_H-M_alt 'C 1 2/c 1'
_space_group_IT_number 15
loop_
_space_group_symop_operation_xyz
'x,y,z'
'-x,-y,-z'
'-x,y,-z+1/2'
'x,-y,z+1/2'
'x+1/2,y+1/2,z'
'-x+1/2,-y+1/2,-z'
'-x+1/2,y+1/2,-z+1/2'
'x+1/2,-y+1/2,z+1/2'
loop_
_atom_site_label
_atom_site_type_symbol
_atom_site_fract_x
_atom_site_fract_y
_atom_site_fract_z
Li1 Li 0.1425 0.1562 0.1822
Sn1 Sn 0.0000 0.3691 0.7500
P1 P 0.1183 0.1638 0.6162
P2 P 0.1503 0.4235 0.1776
O1 O 0.0000 0.1260 0.7500
O2 O 0.0000 0.3838 0.2500
O3 O 0.0597 0.1508 0.4263
O4 O 0.1403 0.4819 0.6593
O5 O 0.1698 0.2499 0.6785
O6 O 0.1932 0.3726 0.0148
O7 O 0.2440 0.0949 0.6504
```

***

Q: Number 3 is which compound?
A: Li2SnP4O12